(1)
# NiPt4
Theoretical X-ray powder pattern, Cu Kα (λ = 1.5418 Å). Input: a crystal structure in Alexandria, relaxed with GGA-PBE.
Peak positions follow from Bragg's law for the DFT cell and can differ from measured ones.

The 8 most intense peaks (10° ≤ 2θ ≤ 90°), by intensity:
d = 2.025 Å, I = 100
d = 2.226 Å, I = 58
d = 2.053 Å, I = 52
d = 2.481 Å, I = 45
d = 2.968 Å, I = 44
d = 2.989 Å, I = 39
d = 1.328 Å, I = 27
d = 1.140 Å, I = 26

Cell and atoms:
```
data_NiPt4
_chemical_formula_sum 'Ni2 Pt8'
_cell_length_a 4.6266
_cell_length_b 7.8302
_cell_length_c 4.4513
_cell_angle_alpha 90.00
_cell_angle_beta 90.00
_cell_angle_gamma 90.00
_symmetry_space_group_name_H-M 'P 1'
_symmetry_Int_Tables_number 1
loop_
_symmetry_equiv_pos_as_xyz
'x,y,z'
loop_
_atom_site_label
_atom_site_fract_x
_atom_site_fract_y
_atom_site_fract_z
Ni1 0.0000 0.0000 0.0000
Ni2 0.5000 0.5000 0.0000
Pt1 0.0015 0.3333 0.0000
Pt2 0.1643 0.8540 0.5000
Pt3 0.3357 0.3540 0.5000
Pt4 0.4985 0.8333 0.0000
Pt5 0.5015 0.1667 0.0000
Pt6 0.6643 0.6460 0.5000
Pt7 0.8357 0.1460 0.5000
Pt8 0.9985 0.6667 0.0000
```

=====

(2)
# Ni5Pt6
Theoretical X-ray powder pattern, Cu Kα (λ = 1.5418 Å). Input: a crystal structure in Alexandria, relaxed with GGA-PBE.
Peak positions follow from Bragg's law for the DFT cell and can differ from measured ones.

The 8 most intense peaks (10° ≤ 2θ ≤ 90°), by intensity:
d = 2.200 Å, I = 100
d = 2.194 Å, I = 99
d = 1.899 Å, I = 64
d = 1.910 Å, I = 33
d = 1.344 Å, I = 21
d = 1.346 Å, I = 20
d = 1.146 Å, I = 18
d = 1.152 Å, I = 13

Cell and atoms:
```
data_Ni5Pt6
_chemical_formula_sum 'Ni5 Pt6'
_cell_length_a 4.6463
_cell_length_b 6.0085
_cell_length_c 6.0361
_cell_angle_alpha 107.31
_cell_angle_beta 104.98
_cell_angle_gamma 97.33
_symmetry_space_group_name_H-M 'P 1'
_symmetry_Int_Tables_number 1
loop_
_symmetry_equiv_pos_as_xyz
'x,y,z'
loop_
_atom_site_label
_atom_site_fract_x
_atom_site_fract_y
_atom_site_fract_z
Ni1 0.0000 0.0000 0.0000
Ni2 0.0893 0.8261 0.3603
Ni3 0.3608 0.2704 0.4492
Ni4 0.7292 0.5499 0.9082
Ni5 0.9080 0.1861 0.6343
Pt1 0.1832 0.6318 0.7256
Pt2 0.2612 0.4527 0.0875
Pt3 0.4499 0.1011 0.8040
Pt4 0.5480 0.9143 0.1838
Pt5 0.6452 0.7372 0.5518
Pt6 0.8209 0.3631 0.2740
```

=====

(3)
# Ni3Pt7
Theoretical X-ray powder pattern, Cu Kα (λ = 1.5418 Å). Input: a crystal structure in Alexandria, relaxed with GGA-PBE.
Peak positions follow from Bragg's law for the DFT cell and can differ from measured ones.

The 8 most intense peaks (10° ≤ 2θ ≤ 90°), by intensity:
d = 2.234 Å, I = 100
d = 2.229 Å, I = 33
d = 1.944 Å, I = 22
d = 1.937 Å, I = 22
d = 1.920 Å, I = 21
d = 1.372 Å, I = 14
d = 1.364 Å, I = 14
d = 1.168 Å, I = 12

Cell and atoms:
```
data_Ni3Pt7
_chemical_formula_sum 'Ni6 Pt14'
_cell_length_a 4.7271
_cell_length_b 7.2581
_cell_length_c 9.0724
_cell_angle_alpha 106.56
_cell_angle_beta 100.61
_cell_angle_gamma 95.89
_symmetry_space_group_name_H-M 'P 1'
_symmetry_Int_Tables_number 1
loop_
_symmetry_equiv_pos_as_xyz
'x,y,z'
loop_
_atom_site_label
_atom_site_fract_x
_atom_site_fract_y
_atom_site_fract_z
Ni1 0.0224 0.0986 0.2715
Ni2 0.0783 0.3011 0.8262
Ni3 0.1769 0.7031 0.9252
Ni4 0.8231 0.2969 0.0748
Ni5 0.9217 0.6989 0.1738
Ni6 0.9776 0.9014 0.7285
Pt1 0.1177 0.4935 0.3650
Pt2 0.2183 0.8996 0.4696
Pt3 0.2633 0.1008 0.0182
Pt4 0.3244 0.3010 0.5767
Pt5 0.3571 0.4980 0.1139
Pt6 0.4244 0.7081 0.6823
Pt7 0.4639 0.8941 0.2175
Pt8 0.5361 0.1059 0.7825
Pt9 0.5756 0.2919 0.3177
Pt10 0.6429 0.5020 0.8861
Pt11 0.6756 0.6990 0.4233
Pt12 0.7367 0.8992 0.9818
Pt13 0.7817 0.1004 0.5304
Pt14 0.8823 0.5065 0.6350
```

=====

(4)
# Ni4Pt7
Theoretical X-ray powder pattern, Cu Kα (λ = 1.5418 Å). Input: a crystal structure in Alexandria, relaxed with GGA-PBE.
Peak positions follow from Bragg's law for the DFT cell and can differ from measured ones.

The 8 most intense peaks (10° ≤ 2θ ≤ 90°), by intensity:
d = 2.223 Å, I = 100
d = 2.207 Å, I = 33
d = 1.939 Å, I = 22
d = 1.921 Å, I = 22
d = 1.905 Å, I = 21
d = 1.355 Å, I = 14
d = 1.167 Å, I = 9
d = 1.162 Å, I = 8

Cell and atoms:
```
data_Ni4Pt7
_chemical_formula_sum 'Ni4 Pt7'
_cell_length_a 4.6656
_cell_length_b 4.7437
_cell_length_c 7.1858
_cell_angle_alpha 96.27
_cell_angle_beta 90.28
_cell_angle_gamma 99.02
_symmetry_space_group_name_H-M 'P 1'
_symmetry_Int_Tables_number 1
loop_
_symmetry_equiv_pos_as_xyz
'x,y,z'
loop_
_atom_site_label
_atom_site_fract_x
_atom_site_fract_y
_atom_site_fract_z
Ni1 0.0919 0.0439 0.1819
Ni2 0.1820 0.5934 0.3642
Ni3 0.8180 0.4066 0.6358
Ni4 0.9081 0.9561 0.8181
Pt1 0.0000 0.5000 0.0000
Pt2 0.2649 0.1412 0.5403
Pt3 0.3558 0.6795 0.7223
Pt4 0.4529 0.2212 0.9061
Pt5 0.5471 0.7788 0.0939
Pt6 0.6442 0.3205 0.2777
Pt7 0.7351 0.8588 0.4597
```

=====

(5)
# Ni7Pt3
Theoretical X-ray powder pattern, Cu Kα (λ = 1.5418 Å). Input: a crystal structure in Alexandria, relaxed with GGA-PBE.
Peak positions follow from Bragg's law for the DFT cell and can differ from measured ones.

The 8 most intense peaks (10° ≤ 2θ ≤ 90°), by intensity:
d = 2.124 Å, I = 100
d = 2.131 Å, I = 81
d = 1.877 Å, I = 55
d = 2.430 Å, I = 33
d = 1.291 Å, I = 31
d = 1.779 Å, I = 29
d = 2.071 Å, I = 21
d = 1.124 Å, I = 20

Cell and atoms:
```
data_Ni7Pt3
_chemical_formula_sum 'Ni7 Pt3'
_cell_length_a 2.6468
_cell_length_b 3.5582
_cell_length_c 13.3043
_cell_angle_alpha 90.00
_cell_angle_beta 90.00
_cell_angle_gamma 90.00
_symmetry_space_group_name_H-M 'P 1'
_symmetry_Int_Tables_number 1
loop_
_symmetry_equiv_pos_as_xyz
'x,y,z'
loop_
_atom_site_label
_atom_site_fract_x
_atom_site_fract_y
_atom_site_fract_z
Ni1 0.0000 0.0000 0.0000
Ni2 0.0000 0.0000 0.1824
Ni3 0.0000 0.0000 0.6082
Ni4 0.0000 0.0000 0.8166
Ni5 0.5000 0.5000 0.0911
Ni6 0.5000 0.5000 0.2750
Ni7 0.5000 0.5000 0.9085
Pt1 0.0000 0.0000 0.3774
Pt2 0.5000 0.5000 0.5027
Pt3 0.5000 0.5000 0.7137
```

=====

(6)
# Ni2Pt5
Theoretical X-ray powder pattern, Cu Kα (λ = 1.5418 Å). Input: a crystal structure in Alexandria, relaxed with GGA-PBE.
Peak positions follow from Bragg's law for the DFT cell and can differ from measured ones.

The 8 most intense peaks (10° ≤ 2θ ≤ 90°), by intensity:
d = 2.294 Å, I = 100
d = 2.091 Å, I = 91
d = 2.221 Å, I = 86
d = 2.123 Å, I = 85
d = 2.318 Å, I = 53
d = 2.031 Å, I = 50
d = 3.556 Å, I = 31
d = 1.290 Å, I = 27

Cell and atoms:
```
data_Ni2Pt5
_chemical_formula_sum 'Ni2 Pt5'
_cell_length_a 4.6828
_cell_length_b 4.6828
_cell_length_c 5.0812
_cell_angle_alpha 95.66
_cell_angle_beta 95.66
_cell_angle_gamma 108.59
_symmetry_space_group_name_H-M 'P 1'
_symmetry_Int_Tables_number 1
loop_
_symmetry_equiv_pos_as_xyz
'x,y,z'
loop_
_atom_site_label
_atom_site_fract_x
_atom_site_fract_y
_atom_site_fract_z
Ni1 0.2166 0.2166 0.0693
Ni2 0.7834 0.7834 0.9307
Pt1 0.0000 0.0000 0.5000
Pt2 0.2106 0.5973 0.7344
Pt3 0.4027 0.7894 0.2656
Pt4 0.5973 0.2106 0.7344
Pt5 0.7894 0.4027 0.2656
```

=====

(7)
# Ni4Pt7
Theoretical X-ray powder pattern, Cu Kα (λ = 1.5418 Å). Input: a crystal structure in Alexandria, relaxed with GGA-PBE.
Peak positions follow from Bragg's law for the DFT cell and can differ from measured ones.

The 8 most intense peaks (10° ≤ 2θ ≤ 90°), by intensity:
d = 2.162 Å, I = 100
d = 2.074 Å, I = 70
d = 3.592 Å, I = 25
d = 1.497 Å, I = 24
d = 2.715 Å, I = 22
d = 1.134 Å, I = 20
d = 1.214 Å, I = 18
d = 2.395 Å, I = 13

Cell and atoms:
```
data_Ni4Pt7
_chemical_formula_sum 'Ni4 Pt7'
_cell_length_a 8.2950
_cell_length_b 8.2950
_cell_length_c 2.7079
_cell_angle_alpha 90.00
_cell_angle_beta 90.00
_cell_angle_gamma 120.00
_symmetry_space_group_name_H-M 'P 1'
_symmetry_Int_Tables_number 1
loop_
_symmetry_equiv_pos_as_xyz
'x,y,z'
loop_
_atom_site_label
_atom_site_fract_x
_atom_site_fract_y
_atom_site_fract_z
Ni1 0.0000 0.0000 0.0000
Ni2 0.0110 0.5055 0.5000
Ni3 0.4945 0.5055 0.5000
Ni4 0.4945 0.9890 0.5000
Pt1 0.1892 0.3784 0.0000
Pt2 0.1892 0.8108 0.0000
Pt3 0.3086 0.1543 0.5000
Pt4 0.6216 0.8108 0.0000
Pt5 0.6667 0.3333 0.0000
Pt6 0.8457 0.1543 0.5000
Pt7 0.8457 0.6914 0.5000
```

=====

(8)
# Ni11Pt3
Theoretical X-ray powder pattern, Cu Kα (λ = 1.5418 Å). Input: a crystal structure in Alexandria, relaxed with GGA-PBE.
Peak positions follow from Bragg's law for the DFT cell and can differ from measured ones.

The 8 most intense peaks (10° ≤ 2θ ≤ 90°), by intensity:
d = 2.183 Å, I = 100
d = 2.005 Å, I = 72
d = 2.402 Å, I = 63
d = 1.947 Å, I = 55
d = 2.139 Å, I = 45
d = 3.583 Å, I = 44
d = 1.934 Å, I = 44
d = 4.579 Å, I = 37

Cell and atoms:
```
data_Ni11Pt3
_chemical_formula_sum 'Ni11 Pt3'
_cell_length_a 6.9395
_cell_length_b 6.9395
_cell_length_c 6.9395
_cell_angle_alpha 147.42
_cell_angle_beta 97.43
_cell_angle_gamma 91.60
_symmetry_space_group_name_H-M 'P 1'
_symmetry_Int_Tables_number 1
loop_
_symmetry_equiv_pos_as_xyz
'x,y,z'
loop_
_atom_site_label
_atom_site_fract_x
_atom_site_fract_y
_atom_site_fract_z
Ni1 0.0000 0.0000 0.0000
Ni2 0.0779 0.8562 0.2217
Ni3 0.1527 0.5000 0.6527
Ni4 0.2427 0.3697 0.8729
Ni5 0.3654 0.1438 0.2217
Ni6 0.4968 0.3697 0.1271
Ni7 0.5032 0.6303 0.8729
Ni8 0.6346 0.8562 0.7783
Ni9 0.7573 0.6303 0.1271
Ni10 0.8473 0.5000 0.3473
Ni11 0.9221 0.1438 0.7783
Pt1 0.2194 0.7194 0.5000
Pt2 0.5000 0.0000 0.5000
Pt3 0.7806 0.2806 0.5000
```